Record 1
Starting from a cell relaxed with GGA-PBE, the powder X-ray diffraction pattern of AcSiGe3 was simulated for Cu Kα, 1.54184 Å.
Neutral-atom scattering factors, no anomalous dispersion.

Crystal structure
```
data_AcSiGe3
_chemical_formula_sum 'Ac2 Si2 Ge6'
_cell_length_a 10.3887
_cell_length_b 10.3887
_cell_length_c 4.8570
_cell_angle_alpha 103.23
_cell_angle_beta 103.23
_cell_angle_gamma 26.50
_space_group_name_H-M_alt 'P 1'
_space_group_IT_number 1
loop_
_space_group_symop_operation_xyz
'x,y,z'
loop_
_atom_site_label
_atom_site_type_symbol
_atom_site_fract_x
_atom_site_fract_y
_atom_site_fract_z
_atom_site_occupancy
Ac1 Ac 0.0945 0.0945 0.3457 1
Ac2 Ac 0.9055 0.9055 0.6543 1
Si1 Si 0.3468 0.3468 0.0960 1
Si2 Si 0.6532 0.6532 0.9040 1
Ge1 Ge 0.2041 0.2041 0.9548 1
Ge2 Ge 0.2774 0.2774 0.5274 1
Ge3 Ge 0.4734 0.4734 0.2237 1
Ge4 Ge 0.5266 0.5266 0.7763 1
Ge5 Ge 0.7226 0.7226 0.4726 1
Ge6 Ge 0.7959 0.7959 0.0452 1
```

Top 6 peaks for 2θ = 5–70°, by intensity:
| 2theta | I (rel.) |
| --- | --- |
| 37.03 | 100 |
| 27.76 | 91 |
| 32.06 | 79 |
| 31.95 | 78 |
| 29.46 | 70 |
| 53.94 | 70 |


Record 2
Starting from a cell relaxed with GGA-PBE, the powder X-ray diffraction pattern of AcSiTc2Ge2 was simulated for Cu Kα, 1.54184 Å.
Neutral-atom scattering factors, no anomalous dispersion.

Crystal structure
```
data_AcSiTc2Ge2
_chemical_formula_sum 'Ac1 Si1 Tc2 Ge2'
_cell_length_a 4.5337
_cell_length_b 4.5337
_cell_length_c 5.8705
_cell_angle_alpha 90.00
_cell_angle_beta 90.00
_cell_angle_gamma 90.00
_space_group_name_H-M_alt 'P 1'
_space_group_IT_number 1
loop_
_space_group_symop_operation_xyz
'x,y,z'
loop_
_atom_site_label
_atom_site_type_symbol
_atom_site_fract_x
_atom_site_fract_y
_atom_site_fract_z
_atom_site_occupancy
Ac1 Ac 0.0000 0.0000 0.0000 1
Si1 Si 0.0000 0.0000 0.5000 1
Tc1 Tc 0.0000 0.5000 0.5000 1
Tc2 Tc 0.5000 0.0000 0.5000 1
Ge1 Ge 0.5000 0.5000 0.2431 1
Ge2 Ge 0.5000 0.5000 0.7569 1
```

Top 6 peaks for 2θ = 5–70°, by intensity:
| 2theta | I (rel.) |
| --- | --- |
| 31.80 | 100 |
| 36.47 | 69 |
| 39.76 | 62 |
| 55.03 | 61 |
| 24.81 | 39 |
| 67.22 | 23 |


Record 3
Starting from a cell relaxed with GGA-PBE, the powder X-ray diffraction pattern of AcSmGe2 was simulated for Cu Kα, 1.54184 Å.
Neutral-atom scattering factors, no anomalous dispersion.

Crystal structure
```
data_AcSmGe2
_chemical_formula_sum 'Ac2 Sm2 Ge4'
_cell_length_a 4.1974
_cell_length_b 6.1885
_cell_length_c 8.4532
_cell_angle_alpha 90.00
_cell_angle_beta 90.00
_cell_angle_gamma 90.00
_space_group_name_H-M_alt 'P 1'
_space_group_IT_number 1
loop_
_space_group_symop_operation_xyz
'x,y,z'
loop_
_atom_site_label
_atom_site_type_symbol
_atom_site_fract_x
_atom_site_fract_y
_atom_site_fract_z
_atom_site_occupancy
Ac1 Ac 0.0000 0.1261 0.0000 1
Ac2 Ac 0.0000 0.8739 0.5000 1
Sm1 Sm 0.5000 0.3716 0.3627 1
Sm2 Sm 0.5000 0.6284 0.8627 1
Ge1 Ge 0.0000 0.3991 0.6411 1
Ge2 Ge 0.0000 0.6009 0.1411 1
Ge3 Ge 0.5000 0.1384 0.7143 1
Ge4 Ge 0.5000 0.8616 0.2143 1
```

Top 6 peaks for 2θ = 5–70°, by intensity:
| 2theta | I (rel.) |
| --- | --- |
| 30.77 | 100 |
| 30.00 | 96 |
| 27.77 | 92 |
| 33.39 | 84 |
| 37.65 | 79 |
| 34.99 | 58 |